# Rb2AcPa3O12
Calculated PXRD pattern, copper Kα. Input: a cell relaxed with PBE.
Intensities are scaled so that the largest is 100.

Structure:
```
Rb2AcPa3O12
1.0
4.1855 2.4165 5.7623
-4.1855 2.4165 5.7623
0.0000 -4.8330 5.7623
Rb Ac Pa O
2 1 3 12
direct
0.1185 0.1185 0.1185
0.8815 0.8815 0.8815
0.5000 0.5000 0.5000
0.0000 0.5000 0.5000
0.5000 0.0000 0.5000
0.5000 0.5000 0.0000
0.0923 0.6252 0.6252
0.2437 0.2437 0.5905
0.2437 0.5905 0.2437
0.3748 0.3748 0.9077
0.3748 0.9077 0.3748
0.4095 0.7563 0.7563
0.5905 0.2437 0.2437
0.6252 0.0923 0.6252
0.6252 0.6252 0.0923
0.7563 0.4095 0.7563
0.7563 0.7563 0.4095
0.9077 0.3748 0.3748
```

Largest 10 diffraction maxima, in order of falling intensity, 10° ≤ 2θ ≤ 90°:
| d [Å] | 2θ/deg | Rel. int. |
| --- | --- | --- |
| 3.343 | 26.7 | 100 |
| 6.685 | 13.2 | 88 |
| 3.386 | 26.3 | 80 |
| 3.548 | 25.1 | 62 |
| 2.093 | 43.2 | 51 |
| 2.777 | 32.2 | 32 |
| 3.121 | 28.6 | 31 |
| 1.856 | 49.1 | 30 |
| 2.228 | 40.5 | 30 |
| 1.693 | 54.2 | 27 |

# AcPa2SnO7
Calculated PXRD pattern, copper Kα. Input: a cell relaxed with PBE.
Intensities are scaled so that the largest is 100.

Structure:
```
AcPa2SnO7
1.0
4.2797 0.0000 0.0000
0.0000 4.2797 0.0000
0.0000 0.0000 11.3231
Ac Pa Sn O
1 2 1 7
direct
0.0000 0.0000 0.0000
0.5000 0.5000 0.2043
0.5000 0.5000 0.7957
0.0000 0.0000 0.5000
0.0000 0.5000 0.1529
0.0000 0.5000 0.8471
0.5000 0.0000 0.1529
0.5000 0.0000 0.8471
0.5000 0.5000 0.0000
0.5000 0.5000 0.3795
0.5000 0.5000 0.6205
```

Largest 10 diffraction maxima, in order of falling intensity, 10° ≤ 2θ ≤ 90°:
| d [Å] | 2θ/deg | Rel. int. |
| --- | --- | --- |
| 3.414 | 26.1 | 100 |
| 1.813 | 50.3 | 47 |
| 3.026 | 29.5 | 45 |
| 2.831 | 31.6 | 27 |
| 2.140 | 42.2 | 24 |
| 2.067 | 43.8 | 16 |
| 1.707 | 53.7 | 16 |
| 1.162 | 83.2 | 15 |
| 1.513 | 61.3 | 13 |
| 1.353 | 69.4 | 8 |